Calculated PXRD pattern
Compound: RbAuCl3
Radiation: Cu Kα, 1.54184 Å
Structure: a PBE-relaxed structure
Peak positions follow from Bragg's law for the DFT cell and can differ from measured ones.

Structure:
```
data_RbAuCl3
_space_group_name_H-M_alt 'P 1'
_space_group_IT_number 1
_cell_length_a 5.164
_cell_length_b 5.164
_cell_length_c 5.164
_cell_angle_alpha 90.00
_cell_angle_beta 90.00
_cell_angle_gamma 90.00
loop_
_space_group_symop_operation_xyz
'x,y,z'
loop_
_atom_site_label
_atom_site_type_symbol
_atom_site_fract_x
_atom_site_fract_y
_atom_site_fract_z
Rb1 Rb 0.000 0.000 0.000
Au1 Au 0.500 0.500 0.500
Cl1 Cl 0.000 0.500 0.500
Cl2 Cl 0.500 0.000 0.500
Cl3 Cl 0.500 0.500 0.000
```

Largest 8 diffraction maxima, by angle, 10° ≤ 2θ ≤ 90°:
two_theta	intensity	(hkl)
17.2	40.3	1 0 0
24.4	100.0	1 1 0
34.7	51.2	2 0 0
39.0	21.2	2 1 0
42.9	46.9	2 1 1
50.0	35.1	2 2 0
56.3	21.4	3 1 0
67.9	24.7	3 2 1